Calculated powder X-ray diffraction pattern
Compound: K3SmP2O8
Radiation: CuKα
Structure: a GGA-PBE-relaxed structure

```
K3SmP2O8
1.0
7.560 0.000 0.000
0.000 5.730 0.000
-0.187 0.000 9.572
K Sm P O
6 2 4 16
Direct
0.005 0.250 0.191
0.141 0.750 0.410
0.295 0.250 0.916
0.705 0.750 0.084
0.859 0.250 0.590
0.995 0.750 0.809
0.494 0.750 0.711
0.506 0.250 0.289
0.270 0.750 0.088
0.311 0.250 0.572
0.689 0.750 0.428
0.730 0.250 0.912
0.067 0.750 0.102
0.217 0.250 0.425
0.259 0.028 0.656
0.259 0.472 0.656
0.323 0.750 0.931
0.349 0.528 0.161
0.349 0.972 0.161
0.487 0.750 0.456
0.513 0.250 0.544
0.651 0.028 0.839
0.651 0.472 0.839
0.677 0.250 0.069
0.741 0.528 0.344
0.741 0.972 0.344
0.783 0.750 0.575
0.933 0.250 0.898
```

Most intense lines, 10° ≤ 2θ ≤ 90°, most intense first:
2θ = 11.71°, I 100; 2θ = 29.97°, I 74; 2θ = 32.11°, I 71; 2θ = 31.22°, I 61; 2θ = 21.66°, I 53; 2θ = 29.67°, I 38; 2θ = 18.04°, I 38; 2θ = 29.84°, I 37; 2θ = 48.12°, I 21; 2θ = 21.79°, I 20; 2θ = 44.15°, I 20; 2θ = 43.73°, I 20

---

Calculated powder X-ray diffraction pattern
Compound: KSmP4O12
Radiation: CuKα
Structure: a GGA-PBE-relaxed structure

```
KSmP4O12
1.0
4.018 -6.369 0.000
4.018 6.369 0.000
-3.816 0.000 10.006
K Sm P O
2 2 8 24
Direct
0.189 0.811 0.750
0.811 0.189 0.250
0.121 0.879 0.250
0.879 0.121 0.750
0.252 0.305 0.550
0.287 0.622 0.004
0.305 0.252 0.050
0.378 0.713 0.496
0.622 0.287 0.504
0.695 0.748 0.950
0.713 0.378 0.996
0.748 0.695 0.450
0.094 0.488 0.888
0.138 0.169 0.408
0.169 0.138 0.908
0.173 0.243 0.661
0.200 0.699 0.395
0.243 0.173 0.161
0.277 0.532 0.563
0.301 0.800 0.105
0.354 0.491 0.086
0.468 0.723 0.937
0.488 0.094 0.388
0.491 0.354 0.586
0.509 0.646 0.414
0.512 0.906 0.612
0.532 0.277 0.063
0.646 0.509 0.914
0.699 0.200 0.895
0.723 0.468 0.437
0.757 0.827 0.839
0.800 0.301 0.605
0.827 0.757 0.339
0.831 0.862 0.092
0.862 0.831 0.592
0.906 0.512 0.112
```

Most intense lines, 10° ≤ 2θ ≤ 90°, most intense first:
2θ = 16.50°, I 100; 2θ = 25.64°, I 92; 2θ = 27.37°, I 89; 2θ = 18.80°, I 62; 2θ = 13.84°, I 54; 2θ = 27.15°, I 41; 2θ = 48.51°, I 39; 2θ = 24.04°, I 39; 2θ = 37.02°, I 36; 2θ = 23.70°, I 29; 2θ = 27.58°, I 25; 2θ = 51.01°, I 24

---

Calculated powder X-ray diffraction pattern
Compound: K2SnP2O7
Radiation: CuKα
Structure: a GGA-PBE-relaxed structure

```
K2SnP2O7
1.0
10.021 0.000 0.000
0.000 6.882 0.000
-6.204 0.000 11.844
K Sn P O
8 4 8 28
Direct
0.015 0.129 0.147
0.015 0.371 0.647
0.479 0.647 0.660
0.479 0.853 0.160
0.521 0.147 0.840
0.521 0.353 0.340
0.985 0.629 0.353
0.985 0.871 0.853
0.248 0.153 0.495
0.248 0.347 0.995
0.752 0.653 0.005
0.752 0.847 0.505
0.138 0.633 0.149
0.138 0.867 0.649
0.349 0.641 0.855
0.349 0.859 0.355
0.651 0.141 0.645
0.651 0.359 0.145
0.862 0.133 0.351
0.862 0.367 0.851
0.004 0.024 0.364
0.004 0.476 0.864
0.110 0.690 0.576
0.110 0.810 0.076
0.214 0.701 0.283
0.214 0.799 0.783
0.255 0.012 0.644
0.255 0.488 0.144
0.320 0.048 0.291
0.320 0.452 0.791
0.332 0.621 0.966
0.332 0.879 0.466
0.496 0.746 0.878
0.496 0.754 0.378
0.504 0.246 0.622
0.504 0.254 0.122
0.668 0.121 0.534
0.668 0.379 0.034
0.680 0.548 0.209
0.680 0.952 0.709
0.745 0.512 0.856
0.745 0.988 0.356
0.786 0.201 0.217
0.786 0.299 0.717
0.890 0.190 0.924
0.890 0.310 0.424
0.996 0.524 0.136
0.996 0.976 0.636
```

Most intense lines, 10° ≤ 2θ ≤ 90°, most intense first:
2θ = 14.90°, I 100; 2θ = 27.56°, I 66; 2θ = 29.75°, I 61; 2θ = 18.75°, I 59; 2θ = 32.91°, I 57; 2θ = 27.74°, I 52; 2θ = 29.98°, I 49; 2θ = 27.37°, I 48; 2θ = 30.25°, I 34; 2θ = 25.18°, I 28; 2θ = 51.67°, I 22; 2θ = 46.83°, I 22

---

Calculated powder X-ray diffraction pattern
Compound: KSrPO4
Radiation: CuKα
Structure: a GGA-PBE-relaxed structure

```
KSrPO4
1.0
7.448 0.000 0.000
0.000 5.632 0.000
0.000 0.000 9.763
K Sr P O
4 4 4 16
Direct
0.159 0.250 0.082
0.341 0.750 0.582
0.659 0.250 0.418
0.841 0.750 0.918
0.001 0.250 0.696
0.499 0.750 0.196
0.501 0.250 0.804
0.999 0.750 0.304
0.226 0.250 0.416
0.274 0.750 0.916
0.726 0.250 0.084
0.774 0.750 0.584
0.018 0.250 0.427
0.192 0.750 0.064
0.212 0.523 0.838
0.212 0.977 0.838
0.288 0.023 0.338
0.288 0.477 0.338
0.308 0.250 0.564
0.482 0.750 0.927
0.518 0.250 0.073
0.692 0.750 0.436
0.712 0.523 0.662
0.712 0.977 0.662
0.788 0.023 0.162
0.788 0.477 0.162
0.808 0.250 0.936
0.982 0.750 0.573
```

Most intense lines, 10° ≤ 2θ ≤ 90°, most intense first:
2θ = 30.19°, I 100; 2θ = 31.76°, I 96; 2θ = 44.39°, I 32; 2θ = 26.97°, I 30; 2θ = 42.13°, I 27; 2θ = 18.18°, I 25; 2θ = 37.38°, I 18; 2θ = 44.24°, I 18; 2θ = 29.96°, I 18; 2θ = 55.24°, I 16; 2θ = 52.61°, I 13; 2θ = 40.14°, I 13

---

Calculated powder X-ray diffraction pattern
Compound: K2SrP2O7
Radiation: CuKα
Structure: a GGA-PBE-relaxed structure

```
K2SrP2O7
1.0
9.288 0.000 0.000
0.000 5.797 0.000
-4.080 0.000 14.378
K Sr P O
8 4 8 28
Direct
0.032 0.234 0.113
0.032 0.266 0.613
0.466 0.238 0.664
0.466 0.262 0.164
0.534 0.738 0.836
0.534 0.762 0.336
0.968 0.734 0.387
0.968 0.766 0.887
0.263 0.226 0.368
0.263 0.274 0.868
0.737 0.726 0.132
0.737 0.774 0.632
0.181 0.731 0.194
0.181 0.769 0.694
0.309 0.700 0.534
0.309 0.800 0.034
0.691 0.200 0.966
0.691 0.300 0.466
0.819 0.231 0.306
0.819 0.269 0.806
0.014 0.728 0.187
0.014 0.772 0.687
0.181 0.700 0.083
0.181 0.800 0.583
0.258 0.539 0.728
0.258 0.961 0.228
0.266 0.055 0.013
0.266 0.445 0.513
0.266 0.519 0.243
0.266 0.981 0.743
0.283 0.655 0.946
0.283 0.845 0.446
0.461 0.735 0.605
0.461 0.765 0.105
0.539 0.235 0.895
0.539 0.265 0.395
0.717 0.155 0.554
0.717 0.345 0.054
0.734 0.019 0.257
0.734 0.481 0.757
0.734 0.555 0.487
0.734 0.945 0.987
0.742 0.039 0.772
0.742 0.461 0.272
0.819 0.200 0.417
0.819 0.300 0.917
0.986 0.228 0.313
0.986 0.272 0.813
```

Most intense lines, 10° ≤ 2θ ≤ 90°, most intense first:
2θ = 28.60°, I 100; 2θ = 30.47°, I 91; 2θ = 30.85°, I 57; 2θ = 19.67°, I 41; 2θ = 29.16°, I 41; 2θ = 25.54°, I 39; 2θ = 19.87°, I 35; 2θ = 39.96°, I 35; 2θ = 42.96°, I 28; 2θ = 40.38°, I 23; 2θ = 24.77°, I 17; 2θ = 51.52°, I 16